The following is a computed X-ray diffraction stick pattern of YAlPd3. It was derived from a cell relaxed with GGA-PBE, using copper Kα.
Intensities are scaled so that the largest is 100.

Main lines, in order of falling intensity (10° ≤ 2θ ≤ 90°):
2θ 37.82, d = 2.379 Å, I = 100; 2θ 36.26, d = 2.478 Å, I = 94; 2θ 31.61, d = 2.831 Å, I = 66; 2θ 59.53, d = 1.553 Å, I = 31; 2θ 33.50, d = 2.675 Å, I = 31; 2θ 68.98, d = 1.361 Å, I = 29; 2θ 61.53, d = 1.507 Å, I = 22; 2θ 49.27, d = 1.850 Å, I = 21; 2θ 58.25, d = 1.584 Å, I = 21; 2θ 44.07, d = 2.055 Å, I = 17

```
YAlPd3
1.0
3.106 1.793 8.492
-3.106 1.793 8.492
0.000 -3.586 8.492
Y Al Pd
3 3 9
Direct
0.000 0.000 0.000 Y
0.226 0.226 0.226 Y
0.774 0.774 0.774 Y
0.397 0.397 0.397 Al
0.500 0.500 0.500 Al
0.603 0.603 0.603 Al
0.000 0.500 0.500 Pd
0.171 0.743 0.743 Pd
0.257 0.257 0.829 Pd
0.257 0.829 0.257 Pd
0.500 0.000 0.500 Pd
0.500 0.500 0.000 Pd
0.743 0.171 0.743 Pd
0.743 0.743 0.171 Pd
0.829 0.257 0.257 Pd
```

The following is a computed X-ray diffraction stick pattern of PmSm4Y2Er2. It was derived from a cell relaxed with GGA-PBE, using copper Kα.
Intensities are scaled so that the largest is 100.

Main lines, in order of falling intensity (10° ≤ 2θ ≤ 90°):
2θ 30.50, d = 2.931 Å, I = 100; 2θ 35.32, d = 2.541 Å, I = 34; 2θ 60.43, d = 1.532 Å, I = 28; 2θ 50.90, d = 1.794 Å, I = 24; 2θ 35.43, d = 2.534 Å, I = 17; 2θ 82.92, d = 1.164 Å, I = 14; 2θ 60.57, d = 1.529 Å, I = 14; 2θ 63.47, d = 1.466 Å, I = 12; 2θ 50.82, d = 1.797 Å, I = 12; 2θ 85.50, d = 1.136 Å, I = 8

```
PmSm4Y2Er2
1.0
7.623 -2.534 0.000
7.623 2.534 0.000
-2.530 0.000 7.623
Pm Sm Y Er
1 4 2 2
Direct
0.000 0.000 0.000 Pm
0.222 0.222 0.332 Sm
0.445 0.445 0.669 Sm
0.555 0.555 0.331 Sm
0.778 0.778 0.668 Sm
0.112 0.112 0.668 Y
0.888 0.888 0.332 Y
0.332 0.332 0.000 Er
0.668 0.668 0.000 Er
```

The following is a computed X-ray diffraction stick pattern of NdV2Fe5Co5. It was derived from a cell relaxed with GGA-PBE, using copper Kα.
Intensities are scaled so that the largest is 100.

Main lines, in order of falling intensity (10° ≤ 2θ ≤ 90°):
2θ 43.13, d = 2.097 Å, I = 100; 2θ 44.32, d = 2.044 Å, I = 69; 2θ 42.73, d = 2.116 Å, I = 65; 2θ 30.40, d = 2.940 Å, I = 42; 2θ 37.23, d = 2.415 Å, I = 40; 2θ 49.52, d = 1.841 Å, I = 29; 2θ 78.52, d = 1.218 Å, I = 20; 2θ 72.93, d = 1.297 Å, I = 19; 2θ 79.36, d = 1.207 Å, I = 17; 2θ 38.57, d = 2.334 Å, I = 17

```
NdV2Fe5Co5
1.0
-2.334 4.230 4.235
2.334 -4.230 4.235
2.334 4.230 -4.235
Nd V Fe Co
1 2 5 5
Direct
0.000 0.000 0.000 Nd
0.361 0.361 0.000 V
0.642 0.642 0.000 V
0.000 0.002 0.499 Fe
0.000 0.501 0.998 Fe
0.230 0.730 0.500 Fe
0.503 0.002 0.002 Fe
0.503 0.501 0.501 Fe
0.233 0.502 0.730 Co
0.360 0.000 0.360 Co
0.640 0.000 0.640 Co
0.772 0.502 0.270 Co
0.773 0.273 0.500 Co
```

The following is a computed X-ray diffraction stick pattern of TbDy2Tm5. It was derived from a cell relaxed with GGA-PBE, using copper Kα.
Intensities are scaled so that the largest is 100.

Main lines, in order of falling intensity (10° ≤ 2θ ≤ 90°):
2θ 30.86, d = 2.898 Å, I = 100; 2θ 32.71, d = 2.738 Å, I = 77; 2θ 32.88, d = 2.724 Å, I = 75; 2θ 31.30, d = 2.858 Å, I = 64; 2θ 30.01, d = 2.978 Å, I = 55; 2θ 34.15, d = 2.625 Å, I = 46; 2θ 32.00, d = 2.797 Å, I = 46; 2θ 31.41, d = 2.848 Å, I = 42; 2θ 28.23, d = 3.161 Å, I = 41; 2θ 50.90, d = 1.794 Å, I = 31

```
TbDy2Tm5
1.0
6.381 0.000 0.000
-2.805 8.966 0.000
-2.161 -3.701 8.697
Tb Dy Tm
2 4 10
Direct
0.219 0.434 0.484 Tb
0.781 0.566 0.516 Tb
0.235 0.932 0.804 Dy
0.374 0.272 0.160 Dy
0.626 0.728 0.840 Dy
0.765 0.068 0.196 Dy
0.003 0.846 0.404 Tm
0.039 0.513 0.827 Tm
0.160 0.866 0.119 Tm
0.494 0.350 0.849 Tm
0.500 0.178 0.486 Tm
0.500 0.822 0.514 Tm
0.506 0.650 0.151 Tm
0.840 0.134 0.881 Tm
0.961 0.487 0.173 Tm
0.997 0.154 0.596 Tm
```

Question: Number 4 is which compound?
Answer: TbDy2Tm5